No. 1
BaHg2S2Br: calculated X-ray powder pattern (Cu Kα X-rays), based on a structure optimized by DFT (GGA-PBE).
Peak positions follow from Bragg's law for the DFT cell and can differ from measured ones.

Top 10 peaks for 10 to 90 degrees two-theta, by angle:
| d_spacing | two_theta | I_rel |
| --- | --- | --- |
| 7.450 | 11.88 | 66 |
| 6.901 | 12.83 | 91 |
| 4.056 | 21.92 | 100 |
| 3.810 | 23.35 | 39 |
| 2.944 | 30.37 | 58 |
| 2.721 | 32.92 | 73 |
| 2.690 | 33.31 | 63 |
| 2.621 | 34.21 | 25 |
| 2.010 | 45.11 | 30 |
| 1.916 | 47.44 | 34 |

Structural model:
a = 8.146 Å, b = 5.842 Å, c = 8.330 Å
α = 90.00°, β = 113.85°, γ = 90.00°
Fractional coordinates of all 12 atoms:
Ba  0.170  0.250  0.326
Ba  0.830  0.750  0.674
Hg  0.395  0.508  0.814
Hg  0.395  0.992  0.814
Hg  0.605  0.008  0.186
Hg  0.605  0.492  0.186
S  0.160  0.750  0.568
S  0.455  0.750  0.337
S  0.545  0.250  0.663
S  0.840  0.250  0.432
Br  0.098  0.250  0.903
Br  0.902  0.750  0.097

---

No. 2
BaSn2HgBr8: calculated X-ray powder pattern (Cu Kα X-rays), based on a structure optimized by DFT (GGA-PBE).
Peak positions follow from Bragg's law for the DFT cell and can differ from measured ones.

Top 10 peaks for 10 to 90 degrees two-theta, by angle:
| d_spacing | two_theta | I_rel |
| --- | --- | --- |
| 5.081 | 17.46 | 100 |
| 3.885 | 22.89 | 27 |
| 3.495 | 25.49 | 26 |
| 3.257 | 27.39 | 39 |
| 2.661 | 33.68 | 21 |
| 2.612 | 34.33 | 55 |
| 2.558 | 35.08 | 23 |
| 2.295 | 39.26 | 22 |
| 2.207 | 40.89 | 22 |
| 2.116 | 42.73 | 19 |

Structural model:
a = 7.038 Å, b = 7.354 Å, c = 9.194 Å
α = 92.90°, β = 91.31°, γ = 90.10°
Fractional coordinates of all 12 atoms:
Ba  0.000  0.000  0.000
Sn  0.495  0.476  0.263
Sn  0.505  0.524  0.737
Hg  0.000  0.000  0.500
Br  0.193  0.159  0.707
Br  0.257  0.648  0.524
Br  0.263  0.641  0.973
Br  0.291  0.149  0.258
Br  0.709  0.851  0.742
Br  0.737  0.359  0.027
Br  0.743  0.352  0.476
Br  0.807  0.841  0.293

---

No. 3
BaTl2HgBr6: calculated X-ray powder pattern (Cu Kα X-rays), based on a structure optimized by DFT (GGA-PBE).
Peak positions follow from Bragg's law for the DFT cell and can differ from measured ones.

Top 10 peaks for 10 to 90 degrees two-theta, by angle:
| d_spacing | two_theta | I_rel |
| --- | --- | --- |
| 5.830 | 15.20 | 40 |
| 4.172 | 21.30 | 100 |
| 4.074 | 21.81 | 78 |
| 3.508 | 25.39 | 56 |
| 2.915 | 30.67 | 86 |
| 2.632 | 34.06 | 90 |
| 2.371 | 37.95 | 67 |
| 2.352 | 38.26 | 73 |
| 1.986 | 45.69 | 25 |
| 1.635 | 56.26 | 22 |

Structural model:
a = 8.137 Å, b = 8.154 Å, c = 8.346 Å
α = 90.17°, β = 119.11°, γ = 119.93°
Fractional coordinates of all 10 atoms:
Ba  0.000  0.000  0.000
Tl  0.575  0.288  0.862
Tl  0.577  0.789  0.364
Hg  0.998  0.499  0.496
Br  0.072  0.238  0.697
Br  0.074  0.376  0.222
Br  0.459  0.834  0.697
Br  0.523  0.148  0.220
Br  0.845  0.698  0.220
Br  0.862  0.625  0.696

---

No. 4
Ba3I5Br: calculated X-ray powder pattern (Cu Kα X-rays), based on a structure optimized by DFT (GGA-PBE).
Peak positions follow from Bragg's law for the DFT cell and can differ from measured ones.

Top 10 peaks for 10 to 90 degrees two-theta, by angle:
| d_spacing | two_theta | I_rel |
| --- | --- | --- |
| 5.742 | 15.43 | 63 |
| 5.528 | 16.03 | 73 |
| 3.882 | 22.91 | 100 |
| 3.826 | 23.25 | 42 |
| 3.802 | 23.40 | 45 |
| 3.617 | 24.61 | 41 |
| 2.982 | 29.97 | 94 |
| 2.634 | 34.03 | 52 |
| 2.375 | 37.89 | 70 |
| 2.367 | 38.02 | 61 |

Structural model:
a = 9.573 Å, b = 9.573 Å, c = 12.217 Å
α = 106.66°, β = 106.66°, γ = 73.71°
Fractional coordinates of all 18 atoms:
Ba  0.000  0.000  0.000
Ba  0.000  0.000  0.500
Ba  0.314  0.314  0.355
Ba  0.335  0.335  0.836
Ba  0.665  0.665  0.164
Ba  0.686  0.686  0.645
I  0.017  0.628  0.352
I  0.236  0.236  0.050
I  0.302  0.698  0.000
I  0.372  0.983  0.648
I  0.457  0.457  0.648
I  0.543  0.543  0.352
I  0.628  0.017  0.352
I  0.698  0.302  0.000
I  0.764  0.764  0.950
I  0.983  0.372  0.648
Br  0.087  0.087  0.289
Br  0.913  0.913  0.711